Diffraction record for MgZn. The powder diffractogram is calculated, not measured: it uses a structure optimized by DFT (PBE) and Cu Kα, 1.54184 Å.
No peak broadening, texture or thermal motion is included.

a b c (Å): 4.6564 3.1489 4.9523
angles (deg): 90.00 90.00 90.00
Sites, in units of the cell vectors:
Mg 0.2500 0.0000 0.1957
Mg 0.7500 0.0000 0.8043
Zn 0.2500 0.5000 0.6790
Zn 0.7500 0.5000 0.3210

Top 10 peaks for 2θ from 15° to 90°, sorted by position:
- 26.27 deg, I = 293, hkl 1 0 1
- 28.34 deg, I = 157, hkl 0 1 0
- 33.73 deg, I = 149, hkl 0 1 1
- 36.28 deg, I = 164, hkl 0 0 2
- 38.67 deg, I = 308, hkl 2 0 0
- 39.03 deg, I = 1000, hkl 1 1 1
- 41.30 deg, I = 278, hkl 1 0 2
- 63.64 deg, I = 117, hkl 0 1 3
- 70.23 deg, I = 161, hkl 3 1 1
- 77.02 deg, I = 129, hkl 2 1 3